(1)
For Li2Ca4Si4O13, the PBE geometry in the Materials Project gives the simulated powder diffractogram in this record (a wavelength of 1.5418 Å).
Peak positions follow from Bragg's law for the DFT cell and can differ from measured ones.

The 8 most intense peaks (2θ = 10–80°), in order of rising 2θ:
Position (°2θ)  I (rel.)
25.36  34.9
26.86  55.8
29.07  72.2
30.21  100.0
30.42  94.4
32.84  42.8
33.91  40.8
50.51  52.3

Structural model:
```
46
Lattice="7.2274 0.0000 0.0000 1.7561 8.1252 0.0000 0.0198 3.5668 9.9565" Properties=species:S:1:pos:R:3 pbc="T T T"
Li 1.7950 2.0034 3.8611
Li 1.9991 3.9815 9.0467
Li 7.0042 7.7106 0.9098
Li 7.2083 9.6887 6.0954
Ca 1.8122 8.9953 8.9743
Ca 1.8309 7.4464 5.0057
Ca 3.6186 2.7660 1.0662
Ca 3.6496 4.2212 4.9226
Ca 5.3537 7.4708 5.0339
Ca 5.3847 8.9260 8.8903
Ca 7.1724 4.2457 4.9508
Ca 7.1911 2.6968 0.9822
Si 1.5722 5.5365 2.2104
Si 3.5706 9.9424 6.7509
Si 3.6052 7.8793 1.9571
Si 3.3458 6.0870 7.7707
Si 5.6575 5.6050 2.1858
Si 5.3981 3.8127 7.9993
Si 5.4327 1.7497 3.2055
Si 7.4312 6.1555 7.7461
O 2.1654 9.0487 6.6163
O 1.8367 5.3499 3.7926
O 1.8000 4.2421 1.2565
O 2.3821 6.8225 1.5294
O 1.7584 5.6347 7.9841
O 1.7735 3.0164 5.6252
O 1.7992 1.0732 1.0038
O 3.5781 10.3930 8.3537
O 3.5582 8.2007 3.5540
O 3.6552 7.2932 8.8038
O 3.6437 6.2599 6.1941
O 5.0086 9.1240 6.5667
O 4.9886 7.0178 1.5650
O 4.0147 4.6743 8.3915
O 3.9947 2.5680 3.3898
O 5.3596 5.4321 3.7624
O 5.3481 4.3988 1.1527
O 5.4451 3.4914 6.4024
O 5.4253 1.2991 1.6028
O 7.2041 10.6188 8.9527
O 7.2299 8.6757 4.3313
O 7.2449 6.0573 1.9723
O 6.6213 4.8695 8.4271
O 7.2033 7.4499 8.6999
O 7.1667 6.3421 6.1638
O 6.8379 2.6433 3.3402
```



(2)
For LiCa2Ta3O10, the PBE geometry in the Materials Project gives the simulated powder diffractogram in this record (a wavelength of 1.5418 Å).
Peak positions follow from Bragg's law for the DFT cell and can differ from measured ones.

The 8 most intense peaks (2θ = 10–80°), in order of rising 2θ:
Position (°2θ)  I (rel.)
19.15  57.6
22.80  100.0
27.75  47.8
31.99  90.5
32.13  62.0
46.08  40.9
48.41  29.3
57.20  36.5

Structural model:
```
16
Lattice="-1.9697 1.9697 13.9069 1.9697 -1.9697 13.9069 1.9697 1.9697 -13.9069" Properties=species:S:1:pos:R:3 pbc="T T T"
Li 0.0000 0.0000 0.0000
Ca 1.9697 0.0000 4.6542
Ca 1.9697 0.0000 9.2527
Ta 0.0000 1.9697 2.6745
Ta 0.0000 1.9697 6.9534
Ta 0.0000 1.9697 11.2324
O 0.0000 0.0000 3.0778
O 0.0000 0.0000 6.9503
O 0.0000 0.0000 10.7919
O 0.0000 1.9697 0.8767
O 0.0000 0.0000 17.0219
O 0.0000 1.9697 4.9812
O 0.0000 0.0000 20.8635
O 0.0000 1.9697 8.9257
O 0.0000 0.0000 24.7359
O 0.0000 1.9697 13.0302
```



(3)
For LiCaPb, the PBE geometry in the Materials Project gives the simulated powder diffractogram in this record (a wavelength of 1.5418 Å).
Peak positions follow from Bragg's law for the DFT cell and can differ from measured ones.

The 8 most intense peaks (2θ = 10–80°), in order of rising 2θ:
Position (°2θ)  I (rel.)
20.55  27.3
22.10  100.0
26.24  44.2
32.04  65.7
36.00  63.0
38.85  33.4
43.91  31.7
62.99  32.7

Structural model:
```
9
Lattice="4.9899 0.0000 0.0000 -2.4949 4.3214 0.0000 0.0000 0.0000 10.9849" Properties=species:S:1:pos:R:3 pbc="T T T"
Li 0.0000 0.0000 0.0000
Li 0.0000 2.8809 3.3373
Li 0.0000 2.8809 7.6475
Ca 2.4949 1.4405 1.8254
Ca 2.4949 1.4405 5.4924
Ca 2.4949 1.4405 9.1594
Pb 0.0000 0.0000 3.7819
Pb 0.0000 0.0000 7.2029
Pb 0.0000 2.8809 0.0000
```



(4)
For LiCaSi2, the PBE geometry in the Materials Project gives the simulated powder diffractogram in this record (a wavelength of 1.5418 Å).
Peak positions follow from Bragg's law for the DFT cell and can differ from measured ones.

The 8 most intense peaks (2θ = 10–80°), in order of rising 2θ:
Position (°2θ)  I (rel.)
13.91  51.8
22.41  46.5
27.51  38.9
32.61  100.0
34.54  40.0
36.40  94.8
42.61  32.9
47.81  32.1

Structural model:
```
16
Lattice="7.9358 0.0000 0.0000 0.0000 3.8049 0.0000 0.0000 0.0000 10.6588" Properties=species:S:1:pos:R:3 pbc="T T T"
Li 0.0116 0.9512 1.1920
Li 3.9563 2.8537 6.5214
Li 3.9795 0.9512 4.1375
Li 7.9242 2.8537 9.4669
Ca 1.0639 2.8537 3.8817
Ca 2.9040 0.9512 9.2111
Ca 5.0318 2.8537 1.4477
Ca 6.8720 0.9512 6.7772
Si 1.3239 2.8537 7.1898
Si 1.8353 2.8537 0.7189
Si 2.1326 0.9512 6.0484
Si 2.6440 0.9512 1.8604
Si 5.2919 2.8537 8.7984
Si 5.8032 2.8537 4.6105
Si 6.1005 0.9512 9.9399
Si 6.6119 0.9512 3.4690
```



(5)
For Li8CaSn7, the PBE geometry in the Materials Project gives the simulated powder diffractogram in this record (a wavelength of 1.5418 Å).
Peak positions follow from Bragg's law for the DFT cell and can differ from measured ones.

The 8 most intense peaks (2θ = 10–80°), in order of rising 2θ:
Position (°2θ)  I (rel.)
19.51  37.4
21.65  30.3
24.02  59.0
26.58  100.0
34.60  30.7
38.40  34.2
39.01  38.8
40.92  28.1

Structural model:
```
32
Lattice="2.3087 -13.4464 0.0000 2.3087 13.4464 0.0000 0.0000 0.0000 11.5621" Properties=species:S:1:pos:R:3 pbc="T T T"
Li 0.0000 0.0000 0.0000
Li 0.0000 0.0000 5.7810
Li 2.3087 12.7967 8.6715
Li 2.3087 10.4446 0.2199
Li 2.3087 10.4446 5.5612
Li 2.3087 6.9584 6.8782
Li 2.3087 6.9584 10.4649
Li 2.3087 1.2205 7.2177
Li 2.3087 1.2205 10.1254
Li 2.3087 -1.2205 1.4366
Li 2.3087 -1.2205 4.3444
Li 2.3087 -6.9584 1.0971
Li 2.3087 -6.9584 4.6839
Li 2.3087 -10.4446 6.0009
Li 2.3087 -10.4446 11.3422
Li 2.3087 -12.7967 2.8905
Ca 2.3087 9.6339 8.6715
Ca 2.3087 -9.6339 2.8905
Sn 2.3087 11.3276 2.8905
Sn 2.3087 6.3907 2.8905
Sn 2.3087 4.5911 0.5463
Sn 2.3087 4.5911 5.2347
Sn 2.3087 4.1648 8.6715
Sn 2.3087 1.7682 1.4081
Sn 2.3087 1.7682 4.3729
Sn 2.3087 -1.7682 7.1891
Sn 2.3087 -1.7682 10.1540
Sn 2.3087 -4.1648 2.8905
Sn 2.3087 -4.5911 6.3274
Sn 2.3087 -4.5911 11.0157
Sn 2.3087 -6.3907 8.6715
Sn 2.3087 -11.3276 8.6715
```



(6)
For Li2CaTl, the PBE geometry in the Materials Project gives the simulated powder diffractogram in this record (a wavelength of 1.5418 Å).
Peak positions follow from Bragg's law for the DFT cell and can differ from measured ones.

The 8 most intense peaks (2θ = 10–80°), in order of rising 2θ:
Position (°2θ)  I (rel.)
21.67  83.9
25.07  100.0
35.75  94.7
42.19  47.7
44.16  29.5
56.46  21.1
58.07  39.2
64.23  34.3

Structural model:
```
16
Lattice="7.1040 0.0000 0.0000 0.0000 7.1040 0.0000 0.0000 0.0000 7.1040" Properties=species:S:1:pos:R:3 pbc="T T T"
Li 1.7760 1.7760 1.7760
Li 1.7760 1.7760 5.3280
Li 1.7760 5.3280 1.7760
Li 1.7760 5.3280 5.3280
Li 5.3280 1.7760 1.7760
Li 5.3280 1.7760 5.3280
Li 5.3280 5.3280 1.7760
Li 5.3280 5.3280 5.3280
Ca 0.0000 0.0000 0.0000
Ca 0.0000 3.5520 3.5520
Ca 3.5520 0.0000 3.5520
Ca 3.5520 3.5520 0.0000
Tl 0.0000 0.0000 3.5520
Tl 0.0000 3.5520 0.0000
Tl 3.5520 0.0000 0.0000
Tl 3.5520 3.5520 3.5520
```



(7)
For LiCa2Tl, the PBE geometry in the Materials Project gives the simulated powder diffractogram in this record (a wavelength of 1.5418 Å).
Peak positions follow from Bragg's law for the DFT cell and can differ from measured ones.

The 8 most intense peaks (2θ = 10–80°), in order of rising 2θ:
Position (°2θ)  I (rel.)
19.88  100.0
22.99  19.2
32.74  98.5
38.59  57.1
51.48  25.3
58.43  36.6
62.36  19.1
72.24  18.7

Structural model:
```
16
Lattice="7.7373 0.0000 0.0000 0.0000 7.7373 0.0000 0.0000 0.0000 7.7373" Properties=species:S:1:pos:R:3 pbc="T T T"
Li 0.0000 0.0000 0.0000
Li 0.0000 3.8686 3.8686
Li 3.8686 0.0000 3.8686
Li 3.8686 3.8686 0.0000
Ca 1.9343 1.9343 1.9343
Ca 1.9343 1.9343 5.8029
Ca 1.9343 5.8029 1.9343
Ca 1.9343 5.8029 5.8029
Ca 5.8029 1.9343 1.9343
Ca 5.8029 1.9343 5.8029
Ca 5.8029 5.8029 1.9343
Ca 5.8029 5.8029 5.8029
Tl 0.0000 0.0000 3.8686
Tl 0.0000 3.8686 0.0000
Tl 3.8686 0.0000 0.0000
Tl 3.8686 3.8686 3.8686
```